Entry 1:
LiAsPdAu: calculated powder XRD pattern (a wavelength of 1.5418 Å), based on the GGA-PBE geometry in Alexandria.
Neutral-atom scattering factors, no anomalous dispersion.

Largest 8 diffraction maxima, low angle first, 2θ from 5° to 70°:
hkl, 2θ/deg, intensity
1 1 1, 24.4, 21
2 0 0, 28.2, 43
2 2 0, 40.3, 100
3 1 1, 47.6, 11
2 2 2, 49.9, 12
4 0 0, 58.3, 17
3 3 1, 64.1, 5
4 2 0, 66.0, 16

abc: 6.330 6.330 6.330
angles: 90.00 90.00 90.00
Space group F-43m (No. 216)
Inequivalent atoms, fractional coordinates:
Li: 0.000 0.000 0.000 [4 per cell]
As: 0.000 0.000 0.500 [4 per cell]
Pd: 0.250 0.250 0.250 [4 per cell]
Au: 0.250 0.250 0.750 [4 per cell]

Entry 2:
PmThTe2N: calculated powder XRD pattern (a wavelength of 1.5418 Å), based on the GGA-PBE geometry in Alexandria.
Neutral-atom scattering factors, no anomalous dispersion.

Largest 10 diffraction maxima, low angle first, 2θ from 5° to 70°:
hkl, 2θ/deg, intensity
0 0 1, 5.4, 20
0 0 2, 10.9, 22
1 0 3, 26.7, 62
1 1 0, 29.8, 100
1 0 4, 30.4, 22
1 0 5, 34.7, 71
1 1 4, 37.2, 19
2 0 0, 42.6, 41
2 1 3, 51.0, 21
2 1 5, 56.1, 36

abc: 4.246 4.246 16.275
angles: 90.00 90.00 90.00
Space group P4/nmm (No. 129, origin choice 2)
Inequivalent atoms, fractional coordinates:
Pm: 0.250 0.250 0.134 [2 per cell]
Th: 0.250 0.250 0.567 [2 per cell]
Te: 0.250 0.250 0.315 [2 per cell]
Te: 0.250 0.250 0.918 [2 per cell]
N: 0.250 0.750 0.500 [2 per cell]

Entry 3:
YPuAg2S4: calculated powder XRD pattern (a wavelength of 1.5418 Å), based on the GGA-PBE geometry in Alexandria.
Neutral-atom scattering factors, no anomalous dispersion.

Largest 10 diffraction maxima, low angle first, 2θ from 5° to 70°:
hkl, 2θ/deg, intensity
0 0 2, 14.5, 11
1 0 1, 17.9, 24
1 1 2, 27.4, 100
0 0 4, 29.3, 51
2 0 0, 33.0, 78
2 0 4, 44.7, 62
2 2 0, 47.3, 27
1 1 6, 50.8, 21
3 1 2, 55.6, 29
2 2 4, 56.6, 30

abc: 5.430 5.430 12.205
angles: 90.00 90.00 90.00
Space group I-4m2 (No. 119)
Inequivalent atoms, fractional coordinates:
Y: 0.000 0.000 0.000 [2 per cell]
Pu: 0.000 0.500 0.750 [2 per cell]
Ag: 0.000 0.000 0.500 [2 per cell]
Ag: 0.000 0.500 0.250 [2 per cell]
S: 0.000 0.000 0.225 [4 per cell]
S: 0.000 0.500 0.520 [4 per cell]

Entry 4:
TaTiMo: calculated powder XRD pattern (a wavelength of 1.5418 Å), based on the GGA-PBE geometry in Alexandria.
Neutral-atom scattering factors, no anomalous dispersion.

Largest 10 diffraction maxima, low angle first, 2θ from 5° to 70°:
hkl, 2θ/deg, intensity
0 0 1, 19.2, 20
2 0 0, 22.3, 6
1 1 0, 22.7, 7
1 1 -1, 25.3, 19
3 1 -1, 34.1, 10
1 1 -2, 39.3, 100
3 1 0, 39.4, 68
0 2 0, 40.1, 32
2 0 2, 56.3, 11
4 2 -2, 57.4, 21

abc: 9.746 4.492 5.645
angles: 90.00 125.04 90.00
Space group Cm (No. 8)
Inequivalent atoms, fractional coordinates:
Ta: 0.000 0.000 0.000 [2 per cell]
Ta: 0.158 0.500 0.836 [2 per cell]
Ti: 0.191 0.500 0.364 [2 per cell]
Ti: 0.349 0.000 0.201 [2 per cell]
Mo: 0.015 0.000 0.516 [2 per cell]
Mo: 0.335 0.000 0.683 [2 per cell]

Entry 5:
CsPm2PaSe5: calculated powder XRD pattern (a wavelength of 1.5418 Å), based on the GGA-PBE geometry in Alexandria.
Neutral-atom scattering factors, no anomalous dispersion.

Largest 10 diffraction maxima, low angle first, 2θ from 5° to 70°:
hkl, 2θ/deg, intensity
0 1 1, 13.1, 57
0 2 0, 23.2, 17
1 1 2, 23.8, 100
0 1 5, 33.5, 18
2 0 0, 33.6, 44
0 2 4, 34.3, 48
1 2 3, 34.4, 45
1 3 2, 41.2, 36
2 2 4, 48.8, 35
2 4 0, 59.4, 18

abc: 5.338 7.664 14.296
angles: 90.00 90.00 90.00
Space group Immm (No. 71)
Inequivalent atoms, fractional coordinates:
Cs: 0.000 0.000 0.000 [2 per cell]
Pm: 0.000 0.500 0.203 [4 per cell]
Pa: 0.000 0.000 0.500 [2 per cell]
Se: 0.000 0.236 0.348 [8 per cell]
Se: 0.000 0.500 0.000 [2 per cell]

Entry 6:
Ba3Lu2Zn5O11: calculated powder XRD pattern (a wavelength of 1.5418 Å), based on the GGA-PBE geometry in Alexandria.
Neutral-atom scattering factors, no anomalous dispersion.

Largest 10 diffraction maxima, low angle first, 2θ from 5° to 70°:
hkl, 2θ/deg, intensity
1 1 1, 11.3, 24
2 2 2, 22.6, 28
3 3 1, 28.6, 64
4 2 2, 32.2, 98
5 1 1, 34.2, 100
4 4 0, 37.4, 29
7 1 1, 47.7, 26
7 3 3, 55.2, 26
6 6 0, 57.4, 79
7 5 5, 68.6, 25

abc: 13.615 13.615 13.615
angles: 90.00 90.00 90.00
Space group F-43m (No. 216)
Inequivalent atoms, fractional coordinates:
Ba: 0.000 0.000 0.206 [24 per cell]
Lu: 0.164 0.164 0.664 [16 per cell]
Zn: 0.083 0.250 0.250 [24 per cell]
Zn: 0.084 0.084 0.416 [16 per cell]
O: 0.000 0.000 0.000 [4 per cell]
O: 0.000 0.000 0.500 [4 per cell]
O: 0.002 0.166 0.666 [48 per cell]
O: 0.158 0.158 0.158 [16 per cell]
O: 0.171 0.171 0.829 [16 per cell]

Entry 7:
La2Pr3Hg: calculated powder XRD pattern (a wavelength of 1.5418 Å), based on the GGA-PBE geometry in Alexandria.
Neutral-atom scattering factors, no anomalous dispersion.

Largest 10 diffraction maxima, low angle first, 2θ from 5° to 70°:
hkl, 2θ/deg, intensity
0 0 1, 7.6, 6
2 0 -2, 30.1, 100
0 0 4, 30.8, 31
2 0 2, 35.1, 66
3 3 -1, 50.0, 24
2 0 -6, 50.9, 22
4 0 0, 59.5, 14
3 3 -5, 59.9, 27
1 3 -7, 60.6, 13
4 0 -4, 62.6, 12

abc: 6.313 10.942 11.821
angles: 90.00 100.30 90.00
Space group C2/m (No. 12)
Inequivalent atoms, fractional coordinates:
La: 0.000 0.000 0.000 [2 per cell]
La: 0.000 0.162 0.500 [4 per cell]
La: 0.000 0.500 0.500 [2 per cell]
Pr: 0.234 0.500 0.240 [4 per cell]
Pr: 0.248 0.327 0.760 [8 per cell]
Hg: 0.000 0.333 0.000 [4 per cell]

Entry 8:
SmEr4Cd4: calculated powder XRD pattern (a wavelength of 1.5418 Å), based on the GGA-PBE geometry in Alexandria.
Neutral-atom scattering factors, no anomalous dispersion.

Largest 10 diffraction maxima, low angle first, 2θ from 5° to 70°:
hkl, 2θ/deg, intensity
2 1 1, 26.5, 28
3 1 0, 29.9, 68
2 2 1, 31.3, 22
0 0 2, 32.4, 30
3 0 1, 32.7, 91
1 0 2, 33.8, 36
2 3 1, 38.0, 100
2 1 2, 38.9, 21
2 6 0, 62.0, 36
5 4 1, 65.4, 22

abc: 9.459 9.459 5.532
angles: 90.00 90.00 90.00
Space group P4_2/n (No. 86, origin choice 2)
Inequivalent atoms, fractional coordinates:
Sm: 0.250 0.250 0.250 [2 per cell]
Er: 0.099 0.825 0.676 [8 per cell]
Cd: 0.048 0.144 0.822 [8 per cell]